Entry 1:
Calculated PXRD pattern
Compound: SrRu2O7
Radiation: Cu Kα (weighted mean of Kα1 and Kα2)
Structure: a structure optimized by DFT (PBE)

Top 6 peaks for 5° ≤ 2θ ≤ 70°, low angle first:
| index | 2θ (°) | I_rel |
| --- | --- | --- |
| 2 0 0 | 28.42 | 78 |
| 1 1 1 | 28.96 | 75 |
| 0 2 1 | 29.53 | 71 |
| 1 3 0 | 30.13 | 100 |
| 2 2 1 | 41.44 | 44 |
| 1 5 1 | 53.48 | 44 |

Cell and atoms:
```
data_SrRu2O7
_symmetry_space_group_name_H-M 'C m m m'
_symmetry_Int_Tables_number 65
_symmetry_space_group_name_Hall '-C 2 2'
_cell_length_a 6.282
_cell_length_b 10.096
_cell_length_c 3.779
_cell_angle_alpha 90.00
_cell_angle_beta 90.00
_cell_angle_gamma 90.00
loop_
_atom_site_label
_atom_site_type_symbol
_atom_site_fract_x
_atom_site_fract_y
_atom_site_fract_z
_atom_site_occupancy
Sr1 Sr 0.000 0.000 0.000 1
Ru1 Ru 0.000 0.309 0.500 1
O1 O 0.000 0.304 0.000 1
O2 O 0.000 0.500 0.500 1
O3 O 0.182 0.144 0.500 1
```

***

Entry 2:
Calculated PXRD pattern
Compound: Ti6PtRh
Radiation: Cu Kα (weighted mean of Kα1 and Kα2)
Structure: a structure optimized by DFT (PBE)

Top 6 peaks for 5° ≤ 2θ ≤ 70°, low angle first:
| index | 2θ (°) | I_rel |
| --- | --- | --- |
| 0 1 0 | 17.44 | 45 |
| 1 0 0 | 20.29 | 31 |
| 1 1 -2 | 38.75 | 100 |
| 0 1 2 | 40.73 | 46 |
| 1 2 0 | 41.05 | 86 |
| 2 0 0 | 41.25 | 42 |

Cell and atoms:
```
data_Ti6PtRh
_symmetry_space_group_name_H-M 'P -1'
_symmetry_Int_Tables_number 2
_symmetry_space_group_name_Hall '-P 1'
_cell_length_a 4.377
_cell_length_b 5.252
_cell_length_c 5.735
_cell_angle_alpha 104.46
_cell_angle_beta 90.02
_cell_angle_gamma 90.10
loop_
_atom_site_label
_atom_site_type_symbol
_atom_site_fract_x
_atom_site_fract_y
_atom_site_fract_z
_atom_site_occupancy
Ti1 Ti 0.000 0.008 0.253 1
Ti2 Ti 0.500 0.251 0.109 1
Ti3 Ti 0.500 0.255 0.609 1
Pt1 Pt 0.000 0.500 0.000 1
Rh1 Rh 0.000 0.500 0.500 1
```

***

Entry 3:
Calculated PXRD pattern
Compound: CuS3F
Radiation: Cu Kα (weighted mean of Kα1 and Kα2)
Structure: a structure optimized by DFT (PBE)

Top 6 peaks for 5° ≤ 2θ ≤ 70°, low angle first:
| index | 2θ (°) | I_rel |
| --- | --- | --- |
| 1 0 0 | 14.20 | 94 |
| 1 1 0 | 23.24 | 100 |
| 2 0 0 | 28.62 | 79 |
| 0 1 2 | 33.15 | 66 |
| 1 1 -2 | 33.69 | 75 |
| 2 1 0 | 34.19 | 50 |

Cell and atoms:
```
data_CuS3F
_symmetry_space_group_name_H-M 'P 1 21 1'
_symmetry_Int_Tables_number 4
_symmetry_space_group_name_Hall 'P 2yb'
_cell_length_a 6.389
_cell_length_b 4.846
_cell_length_c 6.669
_cell_angle_alpha 90.00
_cell_angle_beta 102.54
_cell_angle_gamma 90.00
loop_
_atom_site_label
_atom_site_type_symbol
_atom_site_fract_x
_atom_site_fract_y
_atom_site_fract_z
_atom_site_occupancy
Cu1 Cu 0.160 0.000 0.173 1
S1 S 0.178 0.291 0.909 1
S2 S 0.198 0.042 0.672 1
S3 S 0.215 0.297 0.439 1
F1 F 0.317 0.662 0.204 1
```

***

Entry 4:
Calculated PXRD pattern
Compound: Dy3CdHg2
Radiation: Cu Kα (weighted mean of Kα1 and Kα2)
Structure: a structure optimized by DFT (PBE)

Top 6 peaks for 5° ≤ 2θ ≤ 70°, low angle first:
| index | 2θ (°) | I_rel |
| --- | --- | --- |
| 1 0 1 | 20.67 | 3 |
| 1 0 4 | 33.96 | 100 |
| 1 1 0 | 34.09 | 100 |
| 0 2 4 | 48.88 | 36 |
| 0 1 8 | 60.69 | 19 |
| 3 0 0 | 60.96 | 56 |

Cell and atoms:
```
data_Dy3CdHg2
_symmetry_space_group_name_H-M 'P -3 m 1'
_symmetry_Int_Tables_number 164
_symmetry_space_group_name_Hall '-P 3 2"'
_cell_length_a 5.2605
_cell_length_b 5.2605
_cell_length_c 12.9556
_cell_angle_alpha 90.00
_cell_angle_beta 90.00
_cell_angle_gamma 120.00
loop_
_atom_site_label
_atom_site_type_symbol
_atom_site_fract_x
_atom_site_fract_y
_atom_site_fract_z
_atom_site_occupancy
Dy1 Dy 0.0000 0.0000 0.2481 1
Dy2 Dy 0.3333 0.6667 0.4179 1
Dy3 Dy 0.3333 0.6667 0.9191 1
Cd1 Cd 0.3333 0.6667 0.6683 1
Hg1 Hg 0.0000 0.0000 0.0000 1
Hg2 Hg 0.0000 0.0000 0.5000 1
Hg3 Hg 0.3333 0.6667 0.1730 1
```

***

Entry 5:
Calculated PXRD pattern
Compound: RbSeBr3
Radiation: Cu Kα (weighted mean of Kα1 and Kα2)
Structure: a structure optimized by DFT (PBE)

Top 6 peaks for 5° ≤ 2θ ≤ 70°, low angle first:
| index | 2θ (°) | I_rel |
| --- | --- | --- |
| 1 0 0 | 17.13 | 84 |
| 1 0 -1 | 17.62 | 66 |
| 1 1 -1 | 22.98 | 100 |
| 1 -1 3 | 31.94 | 56 |
| -1 2 2 | 33.44 | 63 |
| 0 2 -4 | 37.37 | 52 |

Cell and atoms:
```
data_RbSeBr3
_symmetry_space_group_name_H-M 'P -1'
_symmetry_Int_Tables_number 2
_symmetry_space_group_name_Hall '-P 1'
_cell_length_a 5.410
_cell_length_b 7.517
_cell_length_c 10.826
_cell_angle_alpha 102.57
_cell_angle_beta 97.77
_cell_angle_gamma 102.99
loop_
_atom_site_label
_atom_site_type_symbol
_atom_site_fract_x
_atom_site_fract_y
_atom_site_fract_z
_atom_site_occupancy
Rb1 Rb 0.156 0.233 0.259 1
Se1 Se 0.395 0.359 0.811 1
Br1 Br 0.213 0.458 0.617 1
Br2 Br 0.402 0.045 0.678 1
Br3 Br 0.404 0.713 0.963 1
```

***

Entry 6:
Calculated PXRD pattern
Compound: Rb14Sm2O9
Radiation: Cu Kα (weighted mean of Kα1 and Kα2)
Structure: a structure optimized by DFT (PBE)

Top 6 peaks for 5° ≤ 2θ ≤ 70°, low angle first:
| index | 2θ (°) | I_rel |
| --- | --- | --- |
| 2 0 1 | 25.92 | 26 |
| 0 1 3 | 26.10 | 22 |
| 1 1 2 | 26.36 | 100 |
| 3 -1 1 | 33.84 | 37 |
| 3 0 0 | 37.49 | 34 |
| 2 -1 4 | 37.76 | 44 |

Cell and atoms:
```
data_Rb14Sm2O9
_symmetry_space_group_name_H-M 'P -3'
_symmetry_Int_Tables_number 147
_symmetry_space_group_name_Hall '-P 3'
_cell_length_a 8.3099
_cell_length_b 8.3099
_cell_length_c 11.6338
_cell_angle_alpha 90.00
_cell_angle_beta 90.00
_cell_angle_gamma 120.00
loop_
_atom_site_label
_atom_site_type_symbol
_atom_site_fract_x
_atom_site_fract_y
_atom_site_fract_z
_atom_site_occupancy
Rb1 Rb 0.0000 0.0000 0.2488 1
Rb2 Rb 0.0349 0.6732 0.9071 1
Rb3 Rb 0.0980 0.3872 0.5919 1
Sm1 Sm 0.3333 0.6667 0.2775 1
O1 O 0.0000 0.0000 0.0000 1
O2 O 0.1154 0.3836 0.3420 1
O3 O 0.3333 0.6667 0.0853 1
```

***

Entry 7:
Calculated PXRD pattern
Compound: PmNd4Sm2Dy2
Radiation: Cu Kα (weighted mean of Kα1 and Kα2)
Structure: a structure optimized by DFT (PBE)

Top 6 peaks for 5° ≤ 2θ ≤ 70°, low angle first:
| index | 2θ (°) | I_rel |
| --- | --- | --- |
| 3 1 1 | 30.12 | 100 |
| 0 2 0 | 34.92 | 51 |
| 6 0 2 | 50.21 | 36 |
| 9 1 0 | 59.63 | 29 |
| 3 1 4 | 59.75 | 14 |
| 6 2 2 | 62.62 | 12 |

Cell and atoms:
```
data_PmNd4Sm2Dy2
_symmetry_space_group_name_H-M 'C 1 2/m 1'
_symmetry_Int_Tables_number 12
_symmetry_space_group_name_Hall '-C 2y'
_cell_length_a 15.433
_cell_length_b 5.143
_cell_length_c 8.116
_cell_angle_alpha 90.00
_cell_angle_beta 108.51
_cell_angle_gamma 90.00
loop_
_atom_site_label
_atom_site_type_symbol
_atom_site_fract_x
_atom_site_fract_y
_atom_site_fract_z
_atom_site_occupancy
Pm1 Pm 0.000 0.000 0.000 1
Nd1 Nd 0.055 0.500 0.332 1
Nd2 Nd 0.222 0.000 0.331 1
Sm1 Sm 0.112 0.000 0.668 1
Dy1 Dy 0.168 0.500 0.999 1
```

***

Entry 8:
Calculated PXRD pattern
Compound: Ta2SeS
Radiation: Cu Kα (weighted mean of Kα1 and Kα2)
Structure: a structure optimized by DFT (PBE)

Top 6 peaks for 5° ≤ 2θ ≤ 70°, low angle first:
| index | 2θ (°) | I_rel |
| --- | --- | --- |
| 0 0 2 | 11.90 | 100 |
| 2 0 3 | 31.72 | 22 |
| 2 2 0 | 37.06 | 30 |
| 2 2 2 | 39.06 | 17 |
| 2 0 5 | 40.12 | 44 |
| 1 3 1 | 42.09 | 17 |

Cell and atoms:
```
data_Ta2SeS
_symmetry_space_group_name_H-M 'C m m e'
_symmetry_Int_Tables_number 67
_symmetry_space_group_name_Hall '-C 2a 2'
_cell_length_a 6.855
_cell_length_b 6.868
_cell_length_c 14.872
_cell_angle_alpha 90.00
_cell_angle_beta 90.00
_cell_angle_gamma 90.00
loop_
_atom_site_label
_atom_site_type_symbol
_atom_site_fract_x
_atom_site_fract_y
_atom_site_fract_z
_atom_site_occupancy
Ta1 Ta 0.000 0.043 0.189 1
Ta2 Ta 0.209 0.250 0.702 1
Se1 Se 0.000 0.026 0.375 1
S1 S 0.222 0.250 0.873 1
```